# 1
The following is a simulated PXRD pattern of KRbH3Au. It was derived from a GGA-PBE-relaxed structure, using a wavelength of 1.5418 Å.
Neutral-atom scattering factors, no anomalous dispersion.

Peak list (8 most intense, 2θ = 15–90°, low angle first)
d/Å	2theta	I_rel	h k l
5.542	16.0	33	1 0 0
4.412	20.1	38	1 0 1
3.644	24.4	27	0 0 2
3.200	27.9	100	1 1 0
3.045	29.3	56	1 0 2
2.405	37.4	52	1 1 2
1.816	50.2	24	2 1 2
1.583	58.3	25	1 1 4

Atomic structure:
Cell: 6.3997 6.3997 7.2888 Å, 90.00 90.00 120.00°
Space group P6_3/mmc (No. 194)
One atom of each set of equivalent atoms:
K 0.0000 0.0000 0.0000 (multiplicity 2)
Rb 0.3333 0.6667 0.2500 (multiplicity 2)
H 0.1766 0.3533 0.7500 (multiplicity 6)
Au 0.3333 0.6667 0.7500 (multiplicity 2)

# 2
The following is a simulated PXRD pattern of K2SnH6Au. It was derived from a GGA-PBE-relaxed structure, using a wavelength of 1.5418 Å.
Neutral-atom scattering factors, no anomalous dispersion.

Peak list (8 most intense, 2θ = 15–90°, low angle first)
d/Å	2theta	I_rel	h k l
4.713	18.8	12	1 1 -1
4.164	21.3	22	0 0 1
4.042	22.0	40	0 2 0
2.900	30.8	100	2 0 0
2.858	31.3	48	2 2 -1
2.357	38.2	19	2 2 0
2.082	43.5	10	0 0 2
1.659	55.4	28	2 4 0

Atomic structure:
Cell: 8.072 8.097 5.791 Å, 90.00 134.02 90.00°
Space group C2/m (No. 12)
One atom of each set of equivalent atoms:
K 0.000 0.250 0.000 (multiplicity 4)
Sn 0.000 0.000 0.500 (multiplicity 2)
H 0.000 0.269 0.500 (multiplicity 4)
H 0.229 0.500 0.500 (multiplicity 4)
H 0.235 0.500 0.971 (multiplicity 4)
Au 0.000 0.500 0.500 (multiplicity 2)

# 3
The following is a simulated PXRD pattern of KSrH6Au2. It was derived from a GGA-PBE-relaxed structure, using a wavelength of 1.5418 Å.
Neutral-atom scattering factors, no anomalous dispersion.

Peak list (8 most intense, 2θ = 15–90°, low angle first)
d/Å	2theta	I_rel	h k l
4.713	18.8	39	2 0 0
3.602	24.7	47	2 0 -2
3.312	26.9	100	2 2 -1
3.260	27.4	64	0 0 2
3.182	28.0	33	2 2 0
2.585	34.7	36	4 0 -2
2.553	35.1	48	2 2 1
2.146	42.1	30	2 2 -3

Atomic structure:
Cell: 10.734 8.627 7.425 Å, 90.00 118.57 90.00°
Space group C2/c (No. 15)
One atom of each set of equivalent atoms:
K 0.000 0.156 0.250 (multiplicity 4)
Sr 0.000 0.344 0.750 (multiplicity 4)
H 0.069 0.415 0.119 (multiplicity 8)
H 0.078 0.106 0.638 (multiplicity 8)
H 0.248 0.482 0.979 (multiplicity 8)
Au 0.247 0.422 0.239 (multiplicity 8)

# 4
The following is a simulated PXRD pattern of LaH6Au2. It was derived from a GGA-PBE-relaxed structure, using a wavelength of 1.5418 Å.
Neutral-atom scattering factors, no anomalous dispersion.

Peak list (8 most intense, 2θ = 15–90°, low angle first)
d/Å	2theta	I_rel	h k l
4.099	21.7	59	2 2 0
3.215	27.7	65	1 3 1
3.183	28.0	73	3 1 1
2.922	30.6	60	0 4 0
2.856	31.3	71	0 2 2
2.845	31.4	100	2 0 2
2.522	35.6	58	3 3 1
2.038	44.4	55	2 4 2

Atomic structure:
Cell: 11.502 11.689 6.547 Å, 90.00 90.00 90.00°
Space group Fdd2 (No. 43)
One atom of each set of equivalent atoms:
La 0.000 0.000 0.000 (multiplicity 8)
H 0.048 0.311 0.342 (multiplicity 16)
H 0.082 0.179 0.099 (multiplicity 16)
H 0.101 0.389 0.834 (multiplicity 16)
Au 0.033 0.224 0.599 (multiplicity 16)

# 5
The following is a simulated PXRD pattern of La3HAu. It was derived from a GGA-PBE-relaxed structure, using a wavelength of 1.5418 Å.
Neutral-atom scattering factors, no anomalous dispersion.

Peak list (8 most intense, 2θ = 15–90°, low angle first)
d/Å	2theta	I_rel	h k l
3.178	28.1	24	3 1 0
3.062	29.2	42	2 0 1
2.844	31.5	100	1 3 1
2.802	31.9	40	2 4 0
2.655	33.8	24	3 3 0
2.469	36.4	41	3 1 1
2.280	39.5	28	0 6 0
1.637	56.2	31	5 3 1

Atomic structure:
Cell: 9.802 13.666 3.922 Å, 90.00 90.00 90.00°
Space group Cmmm (No. 65)
One atom of each set of equivalent atoms:
La 0.000 0.175 0.000 (multiplicity 4)
La 0.189 0.376 0.500 (multiplicity 8)
H 0.250 0.250 0.000 (multiplicity 4)
Au 0.000 0.000 0.500 (multiplicity 2)
Au 0.000 0.500 0.000 (multiplicity 2)

# 6
The following is a simulated PXRD pattern of LaH6Pd4Au. It was derived from a GGA-PBE-relaxed structure, using a wavelength of 1.5418 Å.
Neutral-atom scattering factors, no anomalous dispersion.

Peak list (8 most intense, 2θ = 15–90°, low angle first)
d/Å	2theta	I_rel	h k l
2.639	34.0	100	1 0 2
2.408	37.3	88	1 1 0
2.271	39.7	14	0 0 3
1.779	51.4	31	2 0 2
1.431	65.2	30	2 1 2
1.391	67.3	26	3 0 0
1.186	81.1	12	1 1 5
1.095	89.5	15	3 1 2

Atomic structure:
Cell: 4.8159 4.8159 6.8162 Å, 90.00 90.00 120.00°
Space group P6/mmm (No. 191)
One atom of each set of equivalent atoms:
La 0.0000 0.0000 0.0000 (multiplicity 1)
H 0.0000 0.5000 0.1508 (multiplicity 6)
Pd 0.3333 0.6667 0.3023 (multiplicity 4)
Au 0.0000 0.0000 0.5000 (multiplicity 1)

# 7
The following is a simulated PXRD pattern of LaTeHRhAu. It was derived from a GGA-PBE-relaxed structure, using a wavelength of 1.5418 Å.
Neutral-atom scattering factors, no anomalous dispersion.

Peak list (8 most intense, 2θ = 15–90°, low angle first)
d/Å	2theta	I_rel	h k l
5.309	16.7	100	0 0 1
2.879	31.1	94	1 0 1
2.849	31.4	97	-1 1 1
2.792	32.1	68	0 1 -2
2.449	36.7	100	1 1 -1
2.418	37.2	94	1 -2 1
2.407	37.4	98	1 -1 2
2.178	41.5	81	2 -1 0

Atomic structure:
Cell: 4.357 4.910 5.794 Å, 111.16 90.08 115.52°
Space group P1 (No. 1)
One atom of each set of equivalent atoms:
La 0.000 0.000 0.000 (multiplicity 1)
Te 0.782 0.575 0.375 (multiplicity 1)
H 0.332 0.625 0.969 (multiplicity 1)
Rh 0.258 0.543 0.660 (multiplicity 1)
Au 0.574 0.148 0.651 (multiplicity 1)

# 8
The following is a simulated PXRD pattern of LaTeHRhAu. It was derived from a GGA-PBE-relaxed structure, using a wavelength of 1.5418 Å.
Neutral-atom scattering factors, no anomalous dispersion.

Peak list (8 most intense, 2θ = 15–90°, low angle first)
d/Å	2theta	I_rel	h k l
3.903	22.8	20	1 0 1
2.794	32.0	100	1 0 4
2.457	36.6	50	0 1 5
2.328	38.7	95	1 1 0
1.789	51.1	27	0 2 4
1.418	65.8	25	2 1 4
1.384	67.7	29	1 1 9
1.344	70.0	16	3 0 0

Atomic structure:
Cell: 4.6565 4.6565 15.4956 Å, 90.00 90.00 120.00°
Space group R3m (No. 160, hexagonal axes)
One atom of each set of equivalent atoms:
La 0.0000 0.0000 0.0000 (multiplicity 3)
Te 0.0000 0.0000 0.2095 (multiplicity 3)
H 0.0000 0.0000 0.6417 (multiplicity 3)
Rh 0.0000 0.0000 0.5308 (multiplicity 3)
Au 0.0000 0.0000 0.7718 (multiplicity 3)

# 9
The following is a simulated PXRD pattern of LaTeHRhAu. It was derived from a GGA-PBE-relaxed structure, using a wavelength of 1.5418 Å.
Neutral-atom scattering factors, no anomalous dispersion.

Peak list (8 most intense, 2θ = 15–90°, low angle first)
d/Å	2theta	I_rel	h k l
2.916	30.7	96	1 -1 0
2.906	30.8	100	0 1 1
2.846	31.4	59	0 1 -2
2.663	33.7	90	1 1 0
2.636	34.0	73	1 -1 1
2.605	34.4	69	-1 1 1
2.572	34.9	76	1 1 -2
2.072	43.7	90	0 2 -1

Atomic structure:
Cell: 4.096 4.145 6.547 Å, 107.31 105.92 90.06°
Space group P1 (No. 1)
One atom of each set of equivalent atoms:
La 0.000 0.000 0.000 (multiplicity 1)
Te 0.615 0.617 0.249 (multiplicity 1)
H 0.196 0.272 0.650 (multiplicity 1)
Rh 0.150 0.837 0.633 (multiplicity 1)
Au 0.629 0.324 0.611 (multiplicity 1)

# 10
The following is a simulated PXRD pattern of LaSnH2Au. It was derived from a GGA-PBE-relaxed structure, using a wavelength of 1.5418 Å.
Neutral-atom scattering factors, no anomalous dispersion.

Peak list (8 most intense, 2θ = 15–90°, low angle first)
d/Å	2theta	I_rel	h k l
4.705	18.9	33	0 0 3
3.912	22.7	56	1 0 1
2.667	33.6	85	1 0 4
2.351	38.3	100	1 1 0
2.103	43.0	26	1 1 3
1.763	51.8	25	0 2 4
1.663	55.2	31	1 1 6
1.411	66.3	25	2 1 4

Atomic structure:
Cell: 4.7018 4.7018 14.1144 Å, 90.00 90.00 120.00°
Space group R3m (No. 160, hexagonal axes)
One atom of each set of equivalent atoms:
La 0.0000 0.0000 0.0000 (multiplicity 3)
Sn 0.0000 0.0000 0.5131 (multiplicity 3)
H 0.0000 0.0000 0.3503 (multiplicity 3)
H 0.0000 0.0000 0.6638 (multiplicity 3)
Au 0.0000 0.0000 0.2124 (multiplicity 3)

# 11
The following is a simulated PXRD pattern of LaSnH2Au. It was derived from a GGA-PBE-relaxed structure, using a wavelength of 1.5418 Å.
Neutral-atom scattering factors, no anomalous dispersion.

Peak list (8 most intense, 2θ = 15–90°, low angle first)
d/Å	2theta	I_rel	h k l
4.710	18.8	16	0 0 1
3.069	29.1	100	1 0 1
2.355	38.2	19	0 0 2
2.336	38.5	55	1 1 0
1.859	49.0	24	2 0 1
1.658	55.4	38	1 1 2
1.454	64.0	22	2 1 1
1.170	82.4	13	3 0 2

Atomic structure:
Cell: 4.6712 4.6712 4.7096 Å, 90.00 90.00 120.00°
Space group P-6m2 (No. 187)
One atom of each set of equivalent atoms:
La 0.0000 0.0000 0.0000 (multiplicity 1)
Sn 0.3333 0.6667 0.5000 (multiplicity 1)
H 0.6667 0.3333 0.1012 (multiplicity 2)
Au 0.6667 0.3333 0.5000 (multiplicity 1)

# 12
The following is a simulated PXRD pattern of LaSnH2Au. It was derived from a GGA-PBE-relaxed structure, using a wavelength of 1.5418 Å.
Neutral-atom scattering factors, no anomalous dispersion.

Peak list (8 most intense, 2θ = 15–90°, low angle first)
d/Å	2theta	I_rel	h k l
3.589	24.8	50	1 1 0
3.449	25.8	34	2 0 -1
2.836	31.5	100	1 1 1
2.802	31.9	44	2 0 -2
2.597	34.5	45	1 1 -2
2.156	41.9	30	0 2 0
2.106	42.9	21	2 0 -3
2.051	44.2	51	3 1 -1

Atomic structure:
Cell: 6.995 4.312 6.537 Å, 90.00 112.26 90.00°
Space group Cm (No. 8)
One atom of each set of equivalent atoms:
La 0.000 0.000 0.000 (multiplicity 2)
Sn 0.013 0.500 0.600 (multiplicity 2)
H 0.193 0.500 0.098 (multiplicity 2)
H 0.320 0.000 0.948 (multiplicity 2)
Au 0.289 0.500 0.395 (multiplicity 2)